For PuTlPb2, a DFT-relaxed cell (PBE, Alexandria) gives the calculated X-ray diffraction stick pattern in this record (Cu Kα (weighted mean of Kα1 and Kα2)).

Structure:
a = 5.6809 Å, b = 5.6809 Å, c = 3.6414 Å
α = 90.00°, β = 90.00°, γ = 90.00°
Space group P4/mmm (No. 123)
Asymmetric unit:
Pu 0.0000 0.0000 0.0000 [1 per cell]
Tl 0.5000 0.5000 0.0000 [1 per cell]
Pb 0.0000 0.5000 0.5000 [2 per cell]

Principal peaks in the range 10 to 90 degrees two-theta, sorted by position:
2θ 31.50, d 2.840, I = 57
2θ 33.21, d 2.698, I = 100
2θ 45.14, d 2.009, I = 22
2θ 57.18, d 1.611, I = 44
2θ 60.39, d 1.533, I = 19
2θ 69.71, d 1.349, I = 12